Structure and calculated X-ray diffraction stick pattern of Ho3MgSn (a GGA-PBE-relaxed structure; Cu Ka).
Peak positions follow from Bragg's law for the DFT cell and can differ from measured ones.

Atomic structure:
a = 11.375 Å, b = 10.462 Å, c = 10.165 Å
α = 90.00°, β = 112.68°, γ = 90.00°
Space group C2/c (No. 15)
Asymmetric unit:
Ho 0.080 0.173 0.113 (multiplicity 8)
Ho 0.178 0.487 0.597 (multiplicity 8)
Ho 0.208 0.156 0.617 (multiplicity 8)
Mg 0.136 0.311 0.851 (multiplicity 8)
Sn 0.000 0.059 0.750 (multiplicity 4)
Sn 0.000 0.417 0.250 (multiplicity 4)

Peak list (10 most intense, 10° ≤ 2θ ≤ 90°, low angle first)
13.06 deg, I 31, (1 1 -1)
26.93 deg, I 38, (1 3 0)
30.06 deg, I 56, (2 0 2)
31.13 deg, I 100, (1 3 -2)
31.73 deg, I 38, (3 1 1)
32.04 deg, I 42, (4 0 -2)
35.04 deg, I 31, (1 3 2)
35.40 deg, I 28, (2 0 -4)
36.13 deg, I 43, (4 2 -1)
36.41 deg, I 44, (4 2 -2)